This entry pairs a crystal structure of Dy4O3F4 with its theoretical powder X-ray diffraction pattern. Radiation: CuKα. Structure: a DFT-relaxed cell (PBE, OQMD).
No peak broadening, texture or thermal motion is included.

Crystal structure
Unit cell a=3.628 b=7.330 c=5.686 alpha=90.00 beta=90.00 gamma=90.00
Fractional positions:
Dy  0.000  0.000  0.000
Dy  0.000  0.500  0.003
Dy  0.500  0.248  0.423
Dy  0.500  0.752  0.423
O  0.000  0.240  0.212
O  0.000  0.760  0.212
O  0.500  0.500  0.217
F  0.000  0.000  0.600
F  0.000  0.500  0.601
F  0.500  0.267  0.823
F  0.500  0.733  0.823

Largest 10 diffraction maxima, by angle, 15° ≤ 2θ ≤ 90°:
- 28.99 deg, I 1000
- 29.20 deg, I 984
- 31.47 deg, I 312
- 34.79 deg, I 858
- 47.61 deg, I 569
- 49.76 deg, I 197
- 50.30 deg, I 193
- 58.74 deg, I 288
- 59.10 deg, I 281
- 60.60 deg, I 251



This entry pairs a crystal structure of ZrIn2Cl6 with its theoretical powder X-ray diffraction pattern. Radiation: CuKα. Structure: a DFT-relaxed cell (PBE, OQMD).
No peak broadening, texture or thermal motion is included.

Crystal structure
Unit cell a=7.077 b=7.077 c=10.468 alpha=90.00 beta=90.00 gamma=90.00
Fractional positions:
Zr  0.000  0.000  0.000
Zr  0.500  0.500  0.500
In  0.000  0.500  0.250
In  0.000  0.500  0.750
In  0.500  0.000  0.250
In  0.500  0.000  0.750
Cl  0.000  0.000  0.238
Cl  0.000  0.000  0.762
Cl  0.187  0.297  0.000
Cl  0.203  0.313  0.500
Cl  0.297  0.813  0.000
Cl  0.313  0.797  0.500
Cl  0.500  0.500  0.262
Cl  0.500  0.500  0.738
Cl  0.687  0.203  0.500
Cl  0.703  0.187  0.000
Cl  0.797  0.687  0.500
Cl  0.813  0.703  0.000

Largest 10 diffraction maxima, by angle, 15° ≤ 2θ ≤ 90°:
- 15.11 deg, I 606
- 24.61 deg, I 916
- 25.17 deg, I 645
- 30.49 deg, I 1000
- 34.27 deg, I 504
- 35.89 deg, I 706
- 42.99 deg, I 303
- 44.00 deg, I 610
- 50.46 deg, I 494
- 69.40 deg, I 234



Q: Which formula does entry 1 have?
A: Dy4O3F4



Q: What is the formula in the second record?
A: ZrIn2Cl6



Repeat the first record exactly.
This entry pairs a crystal structure of Dy4O3F4 with its theoretical powder X-ray diffraction pattern. Radiation: CuKα. Structure: a DFT-relaxed cell (PBE, OQMD).
No peak broadening, texture or thermal motion is included.

Crystal structure
Unit cell a=3.628 b=7.330 c=5.686 alpha=90.00 beta=90.00 gamma=90.00
Fractional positions:
Dy  0.000  0.000  0.000
Dy  0.000  0.500  0.003
Dy  0.500  0.248  0.423
Dy  0.500  0.752  0.423
O  0.000  0.240  0.212
O  0.000  0.760  0.212
O  0.500  0.500  0.217
F  0.000  0.000  0.600
F  0.000  0.500  0.601
F  0.500  0.267  0.823
F  0.500  0.733  0.823

Largest 10 diffraction maxima, by angle, 15° ≤ 2θ ≤ 90°:
- 28.99 deg, I 1000
- 29.20 deg, I 984
- 31.47 deg, I 312
- 34.79 deg, I 858
- 47.61 deg, I 569
- 49.76 deg, I 197
- 50.30 deg, I 193
- 58.74 deg, I 288
- 59.10 deg, I 281
- 60.60 deg, I 251